# Mn11Cu7O24
Theoretical powder diffractogram, Cu Ka. Input: a crystal structure in the Materials Project, relaxed with GGA+U.
Kinematic intensities with the Lorentz-polarization factor, no thermal factor.

```
Mn11Cu7O24
1.0
5.139 -9.079 0.000
5.139 9.079 0.000
-3.575 0.000 4.909
Mn Cu O
11 7 24
Direct
0.000 0.000 0.000
0.000 0.500 0.500
0.166 0.332 0.497
0.332 0.166 0.497
0.334 0.666 0.000
0.334 0.666 0.500
0.500 0.000 0.500
0.666 0.334 0.000
0.666 0.334 0.500
0.668 0.834 0.503
0.834 0.668 0.503
0.000 0.000 0.500
0.041 0.710 0.125
0.290 0.959 0.875
0.372 0.372 0.116
0.628 0.628 0.884
0.710 0.041 0.125
0.959 0.290 0.875
0.063 0.911 0.748
0.089 0.937 0.252
0.097 0.426 0.282
0.097 0.429 0.741
0.238 0.238 0.256
0.244 0.730 0.730
0.245 0.245 0.713
0.270 0.756 0.270
0.398 0.578 0.732
0.422 0.602 0.268
0.426 0.097 0.282
0.429 0.097 0.741
0.571 0.903 0.259
0.574 0.903 0.718
0.578 0.398 0.732
0.602 0.422 0.268
0.730 0.244 0.730
0.755 0.755 0.287
0.756 0.270 0.270
0.762 0.762 0.744
0.903 0.571 0.259
0.903 0.574 0.718
0.911 0.063 0.748
0.937 0.089 0.252
```

Largest 12 diffraction maxima, low angle first, 5 to 70 degrees two-theta:
2theta, d (Å), Rel. int.
29.5, 3.031, 24
29.9, 2.983, 46
34.8, 2.579, 100
34.9, 2.574, 33
35.6, 2.519, 61
42.2, 2.143, 19
55.8, 1.649, 31
57.5, 1.602, 14
61.0, 1.518, 15
61.3, 1.513, 15
62.2, 1.493, 27
62.3, 1.490, 27

# Mn5CuP6O24
Theoretical powder diffractogram, Cu Ka. Input: a crystal structure in the Materials Project, relaxed with GGA+U.
Kinematic intensities with the Lorentz-polarization factor, no thermal factor.

```
Mn5CuP6O24
1.0
4.279 2.470 7.022
-4.279 2.470 7.022
0.000 -4.941 7.022
Mn Cu P O
5 1 6 24
Direct
0.000 0.000 0.000
0.143 0.143 0.143
0.357 0.357 0.357
0.503 0.503 0.503
0.856 0.856 0.856
0.644 0.644 0.644
0.040 0.749 0.460
0.249 0.538 0.960
0.460 0.040 0.749
0.538 0.960 0.249
0.749 0.460 0.040
0.960 0.249 0.538
0.011 0.801 0.622
0.060 0.919 0.263
0.080 0.734 0.947
0.121 0.301 0.510
0.193 0.377 0.995
0.239 0.584 0.443
0.263 0.060 0.919
0.301 0.510 0.121
0.377 0.995 0.193
0.412 0.553 0.765
0.443 0.239 0.584
0.482 0.885 0.698
0.510 0.121 0.301
0.553 0.765 0.412
0.584 0.443 0.239
0.622 0.011 0.801
0.698 0.482 0.885
0.734 0.947 0.080
0.765 0.412 0.553
0.801 0.622 0.011
0.885 0.698 0.482
0.919 0.263 0.060
0.947 0.080 0.734
0.995 0.193 0.377
```

Largest 12 diffraction maxima, low angle first, 5 to 70 degrees two-theta:
2theta, d (Å), Rel. int.
20.8, 4.281, 100
24.4, 3.654, 97
25.5, 3.496, 14
29.5, 3.031, 16
32.2, 2.777, 17
33.0, 2.714, 76
36.4, 2.471, 39
47.4, 1.918, 32
49.9, 1.827, 28
56.8, 1.620, 17
56.9, 1.617, 24
63.3, 1.469, 19

# Mn2CuP3O12
Theoretical powder diffractogram, Cu Ka. Input: a crystal structure in the Materials Project, relaxed with GGA+U.
Kinematic intensities with the Lorentz-polarization factor, no thermal factor.

```
Mn2CuP3O12
1.0
8.272 0.000 0.000
4.107 7.463 0.000
0.167 4.668 7.133
Mn Cu P O
4 2 6 24
Direct
0.071 0.291 0.352
0.426 0.715 0.143
0.574 0.285 0.857
0.929 0.709 0.648
0.000 0.000 0.000
0.500 0.000 0.500
0.244 0.205 0.042
0.259 0.489 0.467
0.263 0.782 0.754
0.737 0.218 0.246
0.741 0.511 0.533
0.756 0.795 0.958
0.065 0.410 0.892
0.071 0.614 0.502
0.072 0.818 0.684
0.228 0.018 0.061
0.236 0.810 0.926
0.246 0.668 0.274
0.262 0.173 0.239
0.272 0.314 0.443
0.295 0.953 0.601
0.436 0.177 0.006
0.440 0.365 0.626
0.440 0.561 0.818
0.560 0.439 0.182
0.560 0.635 0.374
0.564 0.823 0.994
0.705 0.047 0.399
0.728 0.686 0.557
0.738 0.827 0.761
0.754 0.332 0.726
0.764 0.190 0.074
0.772 0.982 0.939
0.928 0.182 0.316
0.929 0.386 0.498
0.935 0.590 0.108
```

Largest 12 diffraction maxima, low angle first, 5 to 70 degrees two-theta:
2theta, d (Å), Rel. int.
20.7, 4.295, 57
20.9, 4.258, 100
23.5, 3.783, 30
24.1, 3.693, 52
24.9, 3.582, 24
25.0, 3.564, 35
25.2, 3.538, 26
31.9, 2.808, 27
32.5, 2.751, 33
32.7, 2.736, 28
36.3, 2.473, 44
36.7, 2.451, 22